No. 1
PrPPdRh: simulated XRD peak list (Cu Kα (λ = 1.5418 Å)), based on the GGA-PBE geometry in Alexandria.

Lattice parameters (Å, degrees): 3.985 4.128 9.585 90.00 90.00 90.00
Atoms (fractional coordinates):
Pr: 0.000 0.000 0.000
Pr: 0.000 0.500 0.500
P: 0.500 0.000 0.411
P: 0.500 0.500 0.911
Pd: 0.000 0.000 0.281
Pd: 0.000 0.500 0.781
Rh: 0.500 0.000 0.658
Rh: 0.500 0.500 0.158

Principal peaks in the range 15 to 90 degrees two-theta, sorted by position:
d/Å  2theta  Rel. int.
3.064  29.15  16
2.747  32.60  100
2.527  35.53  55
2.134  42.36  13
2.064  43.86  22
2.054  44.10  37
1.992  45.53  20
1.564  59.05  27
1.456  63.95  24
1.433  65.07  13

---

No. 2
PrSn2P2Pd7: simulated XRD peak list (Cu Kα (λ = 1.5418 Å)), based on the GGA-PBE geometry in Alexandria.

Lattice parameters (Å, degrees): 4.414 4.414 11.672 90.05 90.05 85.59
Atoms (fractional coordinates):
Pr: 0.000 0.000 0.000
Sn: 0.159 0.159 0.395
Sn: 0.841 0.841 0.605
P: 0.338 0.338 0.825
P: 0.662 0.662 0.175
Pd: 0.160 0.658 0.247
Pd: 0.342 0.840 0.753
Pd: 0.352 0.352 0.595
Pd: 0.500 0.500 0.000
Pd: 0.648 0.648 0.405
Pd: 0.658 0.160 0.247
Pd: 0.840 0.342 0.753

Principal peaks in the range 15 to 90 degrees two-theta, sorted by position:
d/Å  2theta  Rel. int.
3.120  28.61  33
2.832  31.60  25
2.667  33.60  92
2.490  36.07  82
2.334  38.57  32
2.167  41.68  32
2.162  41.77  100
2.058  43.99  39
1.842  49.48  25
1.458  63.84  28

---

No. 3
P2PdPt6: simulated XRD peak list (Cu Kα (λ = 1.5418 Å)), based on the GGA-PBE geometry in Alexandria.

Lattice parameters (Å, degrees): 7.661 7.661 7.613 119.74 119.74 54.19
Atoms (fractional coordinates):
P: 0.223 0.223 0.223
P: 0.223 0.223 0.723
P: 0.777 0.777 0.277
P: 0.777 0.777 0.777
Pd: 0.415 0.585 0.750
Pd: 0.585 0.415 0.250
Pt: 0.057 0.183 0.370
Pt: 0.174 0.583 0.316
Pt: 0.174 0.583 0.941
Pt: 0.183 0.057 0.870
Pt: 0.417 0.826 0.184
Pt: 0.417 0.826 0.559
Pt: 0.583 0.174 0.441
Pt: 0.583 0.174 0.816
Pt: 0.817 0.943 0.130
Pt: 0.826 0.417 0.059
Pt: 0.826 0.417 0.684
Pt: 0.943 0.817 0.630

Principal peaks in the range 15 to 90 degrees two-theta, sorted by position:
d/Å  2theta  Rel. int.
3.205  27.84  39
2.832  31.59  100
2.572  34.88  81
2.502  35.89  45
2.429  37.02  38
2.385  37.72  100
2.225  40.55  45
1.904  47.77  78
1.875  48.55  37
1.824  50.00  69

---

No. 4
PPd2Pt2: simulated XRD peak list (Cu Kα (λ = 1.5418 Å)), based on the GGA-PBE geometry in Alexandria.

Lattice parameters (Å, degrees): 5.187 5.187 5.619 90.00 90.00 91.26
Atoms (fractional coordinates):
P: 0.000 0.500 0.000
P: 0.500 0.000 0.500
Pd: 0.139 0.232 0.642
Pd: 0.232 0.139 0.142
Pd: 0.768 0.861 0.142
Pd: 0.861 0.768 0.642
Pt: 0.272 0.640 0.335
Pt: 0.360 0.728 0.835
Pt: 0.640 0.272 0.835
Pt: 0.728 0.360 0.335

Principal peaks in the range 15 to 90 degrees two-theta, sorted by position:
d/Å  2theta  Rel. int.
2.593  34.59  73
2.470  36.37  61
2.354  38.23  43
2.340  38.47  90
2.299  39.18  47
2.239  40.27  81
2.221  40.61  100
2.128  42.48  65
1.798  50.78  48
1.263  75.20  36

---

No. 5
SrP2Pd2Pt: simulated XRD peak list (Cu Kα (λ = 1.5418 Å)), based on the GGA-PBE geometry in Alexandria.

Lattice parameters (Å, degrees): 5.827 10.362 4.227 90.00 90.00 90.00
Atoms (fractional coordinates):
Sr: 0.000 0.000 0.000
Sr: 0.500 0.500 0.500
P: 0.164 0.300 0.000
P: 0.336 0.800 0.500
P: 0.664 0.200 0.500
P: 0.836 0.700 0.000
Pd: 0.013 0.680 0.500
Pd: 0.487 0.180 0.000
Pd: 0.513 0.820 0.000
Pd: 0.987 0.320 0.500
Pt: 0.000 0.500 0.000
Pt: 0.500 0.000 0.500

Principal peaks in the range 15 to 90 degrees two-theta, sorted by position:
d/Å  2theta  Rel. int.
5.079  17.46  57
2.913  30.69  37
2.855  31.33  100
2.675  33.50  19
2.114  42.78  21
2.065  43.83  28
1.970  46.07  25
1.952  46.52  20
1.711  53.57  16
1.671  54.96  28

---

No. 6
Pu2P2Pd5: simulated XRD peak list (Cu Kα (λ = 1.5418 Å)), based on the GGA-PBE geometry in Alexandria.

Lattice parameters (Å, degrees): 4.124 4.124 9.239 90.00 90.00 90.00
Atoms (fractional coordinates):
Pu: 0.000 0.000 0.000
Pu: 0.000 0.000 0.500
P: 0.500 0.500 0.123
P: 0.500 0.500 0.877
Pd: 0.000 0.500 0.264
Pd: 0.000 0.500 0.736
Pd: 0.500 0.000 0.264
Pd: 0.500 0.000 0.736
Pd: 0.500 0.500 0.500

Principal peaks in the range 15 to 90 degrees two-theta, sorted by position:
d/Å  2theta  Rel. int.
4.124  21.55  15
3.077  29.02  22
2.466  36.43  100
2.310  39.00  17
2.062  43.90  33
2.015  44.99  10
1.538  60.15  20
1.458  63.83  11
1.362  68.97  13
1.255  75.79  23

---

No. 7
PuP2Pd3: simulated XRD peak list (Cu Kα (λ = 1.5418 Å)), based on the GGA-PBE geometry in Alexandria.

Lattice parameters (Å, degrees): 7.951 7.951 7.951 152.75 116.74 70.19
Atoms (fractional coordinates):
Pu: 0.138 0.138 0.000
Pu: 0.862 0.862 0.000
P: 0.141 0.500 0.641
P: 0.341 0.841 0.500
P: 0.659 0.159 0.500
P: 0.859 0.500 0.359
Pd: 0.135 0.325 0.809
Pd: 0.335 0.000 0.335
Pd: 0.484 0.675 0.809
Pd: 0.516 0.325 0.191
Pd: 0.665 0.000 0.665
Pd: 0.865 0.675 0.191

Principal peaks in the range 15 to 90 degrees two-theta, sorted by position:
d/Å  2theta  Rel. int.
3.417  26.08  25
3.025  29.53  19
2.721  32.91  56
2.565  34.98  17
2.356  38.20  40
2.344  38.41  100
2.169  41.65  20
2.112  42.83  16
1.873  48.61  21
1.315  71.81  16

---

No. 8
Rb3PPd: simulated XRD peak list (Cu Kα (λ = 1.5418 Å)), based on the GGA-PBE geometry in Alexandria.

Lattice parameters (Å, degrees): 8.541 8.541 8.541 90.00 90.00 90.00
Atoms (fractional coordinates):
Rb: 0.048 0.138 0.808
Rb: 0.138 0.808 0.048
Rb: 0.192 0.548 0.362
Rb: 0.308 0.452 0.862
Rb: 0.362 0.192 0.548
Rb: 0.452 0.862 0.308
Rb: 0.548 0.362 0.192
Rb: 0.638 0.692 0.952
Rb: 0.692 0.952 0.638
Rb: 0.808 0.048 0.138
Rb: 0.862 0.308 0.452
Rb: 0.952 0.638 0.692
P: 0.069 0.931 0.431
P: 0.431 0.069 0.931
P: 0.569 0.569 0.569
P: 0.931 0.431 0.069
Pd: 0.174 0.174 0.174
Pd: 0.326 0.826 0.674
Pd: 0.674 0.326 0.826
Pd: 0.826 0.674 0.326

Principal peaks in the range 15 to 90 degrees two-theta, sorted by position:
d/Å  2theta  Rel. int.
3.820  23.29  18
2.847  31.42  100
2.701  33.17  72
2.575  34.84  26
2.283  39.48  13
1.675  54.81  32
1.586  58.17  24
1.423  65.58  12
1.334  70.61  8
1.094  89.65  8

---

No. 9
RbPPdRu: simulated XRD peak list (Cu Kα (λ = 1.5418 Å)), based on the GGA-PBE geometry in Alexandria.

Lattice parameters (Å, degrees): 3.953 3.953 12.567 90.00 90.00 90.00
Atoms (fractional coordinates):
Rb: 0.250 0.250 0.227
Rb: 0.750 0.750 0.773
P: 0.250 0.250 0.595
P: 0.750 0.750 0.405
Pd: 0.250 0.750 0.000
Pd: 0.750 0.250 0.000
Ru: 0.250 0.750 0.500
Ru: 0.750 0.250 0.500

Principal peaks in the range 15 to 90 degrees two-theta, sorted by position:
d/Å  2theta  Rel. int.
3.771  23.59  16
3.142  28.41  38
2.875  31.11  21
2.554  35.14  100
2.088  43.33  18
1.976  45.92  31
1.676  54.77  29
1.673  54.88  23
1.398  66.96  10
1.226  77.93  19

---

No. 10
Rb4P3Pd3S12: simulated XRD peak list (Cu Kα (λ = 1.5418 Å)), based on the GGA-PBE geometry in Alexandria.

Lattice parameters (Å, degrees): 12.230 12.230 12.230 90.00 90.00 90.00
Atoms (fractional coordinates):
Rb: 0.250 0.250 0.250
Rb: 0.250 0.250 0.750
Rb: 0.250 0.750 0.250
Rb: 0.250 0.750 0.750
Rb: 0.750 0.250 0.250
Rb: 0.750 0.250 0.750
Rb: 0.750 0.750 0.250
Rb: 0.750 0.750 0.750
P: 0.000 0.250 0.500
P: 0.000 0.750 0.500
P: 0.250 0.500 0.000
P: 0.500 0.000 0.250
P: 0.500 0.000 0.750
P: 0.750 0.500 0.000
Pd: 0.000 0.000 0.500
Pd: 0.000 0.500 0.000
Pd: 0.000 0.500 0.500
Pd: 0.500 0.000 0.000
Pd: 0.500 0.000 0.500
Pd: 0.500 0.500 0.000
S: 0.000 0.355 0.369
S: 0.000 0.355 0.631
S: 0.000 0.645 0.369
S: 0.000 0.645 0.631
S: 0.131 0.145 0.500
S: 0.131 0.855 0.500
S: 0.145 0.500 0.131
S: 0.145 0.500 0.869
S: 0.355 0.369 0.000
S: 0.355 0.631 0.000
S: 0.369 0.000 0.355
S: 0.369 0.000 0.645
S: 0.500 0.131 0.145
S: 0.500 0.131 0.855
S: 0.500 0.869 0.145
S: 0.500 0.869 0.855
S: 0.631 0.000 0.355
S: 0.631 0.000 0.645
S: 0.645 0.369 0.000
S: 0.645 0.631 0.000
S: 0.855 0.500 0.131
S: 0.855 0.500 0.869
S: 0.869 0.145 0.500
S: 0.869 0.855 0.500

Principal peaks in the range 15 to 90 degrees two-theta, sorted by position:
d/Å  2theta  Rel. int.
4.324  20.54  100
3.867  23.00  15
3.057  29.21  25
2.496  35.98  62
2.398  37.50  18
2.162  41.78  17
1.934  46.99  28
1.765  51.79  18
1.634  56.29  26
1.441  64.67  16

---

No. 11
Tb3P2Pd2Rh5: simulated XRD peak list (Cu Kα (λ = 1.5418 Å)), based on the GGA-PBE geometry in Alexandria.

Lattice parameters (Å, degrees): 13.450 13.450 13.450 162.93 162.93 24.23
Atoms (fractional coordinates):
Tb: 0.000 0.000 0.000
Tb: 0.168 0.168 0.000
Tb: 0.832 0.832 0.000
P: 0.372 0.372 0.000
P: 0.628 0.628 0.000
Pd: 0.280 0.280 0.000
Pd: 0.720 0.720 0.000
Rh: 0.083 0.583 0.500
Rh: 0.417 0.917 0.500
Rh: 0.500 0.500 0.000
Rh: 0.583 0.083 0.500
Rh: 0.917 0.417 0.500

Principal peaks in the range 15 to 90 degrees two-theta, sorted by position:
d/Å  2theta  Rel. int.
2.823  31.69  18
2.760  32.44  19
2.736  32.73  22
2.594  34.58  27
2.374  37.91  100
2.358  38.16  31
1.996  45.43  58
1.412  66.20  19
1.298  72.89  24
1.213  78.90  23

---

No. 12
UP2PdRu2: simulated XRD peak list (Cu Kα (λ = 1.5418 Å)), based on the GGA-PBE geometry in Alexandria.

Lattice parameters (Å, degrees): 3.895 8.180 5.877 90.00 90.00 90.00
Atoms (fractional coordinates):
U: 0.000 0.063 0.000
U: 0.000 0.937 0.500
P: 0.000 0.393 0.795
P: 0.000 0.607 0.295
P: 0.500 0.192 0.285
P: 0.500 0.808 0.785
Pd: 0.500 0.207 0.685
Pd: 0.500 0.793 0.185
Ru: 0.000 0.337 0.396
Ru: 0.000 0.663 0.896
Ru: 0.500 0.429 0.058
Ru: 0.500 0.571 0.558

Principal peaks in the range 15 to 90 degrees two-theta, sorted by position:
d/Å  2theta  Rel. int.
3.517  25.32  36
2.543  35.29  100
2.473  36.32  51
2.387  37.69  29
2.346  38.37  47
2.255  39.98  73
2.234  40.38  34
1.948  46.63  38
1.530  60.50  24
1.330  70.87  25